Entry 1:
Theoretical XRD peak list of Sr2LiCuBrO2 for Cu Kα X-rays, from a crystal structure in the Materials Project, relaxed with GGA-PBE.
Neutral-atom scattering factors, no anomalous dispersion.

Main lines, low angle first (10 to 90 degrees two-theta):
d (Å), 2θ (°), intensity
3.191, 28.0, 100
2.568, 34.9, 45
2.499, 35.9, 15
2.036, 44.5, 36
1.716, 53.4, 16
1.655, 55.5, 13
1.595, 57.8, 10
1.578, 58.5, 23
1.312, 72.0, 13
1.256, 75.7, 10

Atomic structure:
```
Sr2LiCuBrO2
1.0
2.0359 1.1754 9.9946
-2.0359 1.1754 9.9946
0.0000 -2.3509 9.9946
Sr Li Cu Br O
2 1 1 1 2
Cartesian
0.0000 0.0000 0.0000
0.0000 0.0000 14.6563
0.0000 0.0000 17.9813
0.0000 0.0000 7.0676
0.0000 0.0000 22.1427
0.0000 0.0000 5.1859
0.0000 0.0000 9.0588
```

=====

Entry 2:
Theoretical XRD peak list of Sr2MgCuBr2O2 for Cu Kα X-rays, from a crystal structure in the Materials Project, relaxed with GGA-PBE.
Neutral-atom scattering factors, no anomalous dispersion.

Main lines, low angle first (10 to 90 degrees two-theta):
d (Å), 2θ (°), intensity
5.690, 15.6, 27
3.931, 22.6, 35
3.793, 23.5, 46
2.947, 30.3, 100
2.770, 32.3, 25
2.612, 34.3, 29
2.455, 36.6, 62
2.387, 37.7, 31
2.372, 37.9, 34
1.873, 48.6, 24

Atomic structure:
```
Sr2MgCuBr2O2
1.0
3.7452 0.0000 0.0000
0.0053 4.7843 0.0000
1.8628 1.6751 11.3796
Sr Mg Cu Br O
2 1 1 2 2
Cartesian
0.0000 0.0000 0.0000
1.8892 1.6240 8.0627
3.7525 2.7101 3.1729
1.8724 2.4271 1.1223
1.8847 1.5896 4.6030
3.7702 4.0178 7.0926
3.7404 1.6497 9.7931
3.7458 2.3612 1.1808
```

=====

Entry 3:
Theoretical XRD peak list of Sr2MgCuBr2O2 for Cu Kα X-rays, from a crystal structure in the Materials Project, relaxed with GGA-PBE.
Neutral-atom scattering factors, no anomalous dispersion.

Main lines, low angle first (10 to 90 degrees two-theta):
d (Å), 2θ (°), intensity
3.613, 24.6, 22
2.824, 31.7, 51
2.757, 32.5, 24
2.689, 33.3, 100
2.581, 34.8, 17
2.308, 39.0, 46
1.997, 45.4, 32
1.603, 57.5, 40
1.510, 61.4, 24
1.244, 76.6, 12

Atomic structure:
```
Sr2MgCuBr2O2
1.0
-1.9966 1.9966 12.7287
1.9966 -1.9966 12.7287
1.9966 1.9966 -12.7287
Sr Mg Cu Br O
2 1 1 2 2
Cartesian
0.0000 0.0000 1.6486
0.0000 0.0000 23.8087
1.9966 0.0000 6.3643
0.0000 0.0000 12.7287
0.0000 0.0000 9.4589
0.0000 0.0000 15.9985
0.0000 1.9966 12.7278
0.0000 1.9966 0.0008
```

=====

Entry 4:
Theoretical XRD peak list of Sr2MgCuBr2O2 for Cu Kα X-rays, from a crystal structure in the Materials Project, relaxed with GGA-PBE.
Neutral-atom scattering factors, no anomalous dispersion.

Main lines, low angle first (10 to 90 degrees two-theta):
d (Å), 2θ (°), intensity
3.685, 24.2, 66
3.016, 29.6, 68
2.917, 30.7, 100
2.508, 35.8, 47
2.287, 39.4, 45
2.062, 43.9, 49
1.807, 50.5, 22
1.800, 50.7, 32
1.702, 53.9, 24
1.593, 57.9, 23

Atomic structure:
```
Sr2MgCuBr2O2
1.0
-2.0624 2.0624 11.0536
2.0624 -2.0624 11.0536
2.0624 2.0624 -11.0536
Sr Mg Cu Br O
2 1 1 2 2
Cartesian
0.0000 0.0000 3.2468
0.0000 0.0000 18.8605
0.0000 0.0000 0.0000
0.0000 0.0000 11.0536
0.0000 0.0000 6.7379
0.0000 0.0000 15.3694
2.0624 0.0000 0.0000
0.0000 2.0624 0.0000
```

=====

Entry 5:
Theoretical XRD peak list of Sr2MgCuBr2O2 for Cu Kα X-rays, from a crystal structure in the Materials Project, relaxed with GGA-PBE.
Neutral-atom scattering factors, no anomalous dispersion.

Main lines, low angle first (10 to 90 degrees two-theta):
d (Å), 2θ (°), intensity
3.601, 24.7, 21
2.817, 31.8, 64
2.674, 33.5, 100
2.294, 39.3, 39
1.992, 45.5, 32
1.598, 57.7, 40
1.504, 61.7, 20
1.377, 68.1, 12
1.260, 75.4, 11
1.237, 77.1, 11

Atomic structure:
```
Sr2MgCuBr2O2
1.0
-1.9921 1.9921 12.6248
1.9921 -1.9921 12.6248
1.9921 1.9921 -12.6248
Sr Mg Cu Br O
2 1 1 2 2
Cartesian
0.0000 0.0000 0.0000
0.0000 0.0000 3.3038
0.0000 0.0000 7.8604
0.0000 0.0000 14.2636
0.0000 0.0000 10.9560
0.0000 0.0000 17.5069
1.9921 0.0000 1.6236
0.0000 1.9921 1.6236
```

=====

Entry 6:
Theoretical XRD peak list of Rb2CuMoBr6 for Cu Kα X-rays, from a crystal structure in the Materials Project, relaxed with GGA-PBE.
Neutral-atom scattering factors, no anomalous dispersion.

Main lines, low angle first (10 to 90 degrees two-theta):
d (Å), 2θ (°), intensity
5.330, 16.6, 21
3.769, 23.6, 22
3.077, 29.0, 71
2.665, 33.6, 100
1.885, 48.3, 70
1.607, 57.3, 30
1.539, 60.1, 24
1.333, 70.7, 11
1.223, 78.2, 12
1.192, 80.6, 31

Atomic structure:
```
Rb2CuMoBr6
1.0
0.0000 5.3302 5.3302
5.3302 0.0000 5.3302
5.3302 5.3302 0.0000
Rb Cu Mo Br
2 1 1 6
Cartesian
2.6651 2.6651 2.6651
7.9953 7.9953 7.9953
0.0000 0.0000 0.0000
5.3302 5.3302 5.3302
5.3302 5.3302 2.6912
5.3302 2.6912 5.3302
7.9692 5.3302 5.3302
2.6912 5.3302 5.3302
5.3302 7.9692 5.3302
5.3302 5.3302 7.9692
```

=====

Entry 7:
Theoretical XRD peak list of CuBr3N2 for Cu Kα X-rays, from a crystal structure in the Materials Project, relaxed with GGA-PBE.
Neutral-atom scattering factors, no anomalous dispersion.

Main lines, low angle first (10 to 90 degrees two-theta):
d (Å), 2θ (°), intensity
4.444, 20.0, 30
3.529, 25.2, 58
3.444, 25.9, 32
3.318, 26.9, 34
3.215, 27.7, 100
3.046, 29.3, 58
2.577, 34.8, 59
2.541, 35.3, 33
1.967, 46.1, 28
1.834, 49.7, 31

Atomic structure:
```
CuBr3N2
1.0
12.9892 0.0000 0.0000
0.0000 3.4487 0.0000
0.0000 0.0000 12.1856
Cu Br N
4 12 8
Cartesian
2.9363 0.8622 1.4796
3.5583 2.5866 7.5724
9.4308 0.8622 4.6131
10.0529 2.5866 10.7059
0.7670 0.8622 2.2179
1.2168 2.5866 7.4755
2.6395 0.8622 10.8103
3.8551 2.5866 4.7175
5.2778 0.8622 1.3827
5.7276 2.5866 8.3106
7.2616 0.8622 3.8749
7.7114 2.5866 10.8029
9.1341 0.8622 7.4681
10.3497 2.5866 1.3753
11.7724 0.8622 4.7101
12.2222 2.5866 9.9677
0.4211 0.8622 8.5597
2.7584 2.5866 11.7323
3.7362 0.8622 5.6395
6.0735 2.5866 2.4669
6.9157 0.8622 9.7187
9.2530 2.5866 6.5461
10.2308 0.8622 0.4533
12.5681 2.5866 3.6259
```

=====

Entry 8:
Theoretical XRD peak list of CuBr2N2 for Cu Kα X-rays, from a crystal structure in the Materials Project, relaxed with GGA-PBE.
Neutral-atom scattering factors, no anomalous dispersion.

Main lines, low angle first (10 to 90 degrees two-theta):
d (Å), 2θ (°), intensity
5.414, 16.4, 57
3.887, 22.9, 100
3.419, 26.1, 74
3.023, 29.6, 76
2.707, 33.1, 28
2.512, 35.7, 43
2.386, 37.7, 47
2.110, 42.9, 31
1.944, 46.7, 25
1.786, 51.1, 23

Atomic structure:
```
CuBr2N2
1.0
3.8372 -3.8873 0.0000
3.8372 3.8873 0.0000
-0.7381 0.0000 3.9625
Cu Br N
1 2 2
Cartesian
0.0000 0.0000 0.0000
1.5860 0.0000 1.6733
5.3503 0.0000 2.2892
3.8372 2.0129 0.0000
3.8372 -2.0129 0.0000
```

=====

Entry 9:
Theoretical XRD peak list of CuBr4N2O2 for Cu Kα X-rays, from a crystal structure in the Materials Project, relaxed with GGA-PBE.
Neutral-atom scattering factors, no anomalous dispersion.

Main lines, low angle first (10 to 90 degrees two-theta):
d (Å), 2θ (°), intensity
5.577, 15.9, 98
3.945, 22.5, 100
3.220, 27.7, 29
2.788, 32.1, 97
2.494, 36.0, 40
2.277, 39.6, 42
2.107, 42.9, 47
1.972, 46.0, 24
1.681, 54.6, 41
1.546, 59.8, 30

Atomic structure:
```
CuBr4N2O2
1.0
-3.9418 3.9418 3.9459
3.9418 -3.9418 3.9459
3.9418 3.9418 -3.9459
Cu Br N O
1 4 2 2
Cartesian
0.0000 0.0000 0.0000
1.6244 1.6244 0.0000
2.3174 -2.3174 3.9459
-2.3174 2.3174 3.9459
2.3174 2.3174 3.9459
3.9418 0.0000 1.9729
0.0000 3.9418 1.9729
0.0000 0.0000 3.3294
0.0000 0.0000 4.5623
```

=====

Entry 10:
Theoretical XRD peak list of CuBr4N2O2 for Cu Kα X-rays, from a crystal structure in the Materials Project, relaxed with GGA-PBE.
Neutral-atom scattering factors, no anomalous dispersion.

Main lines, low angle first (10 to 90 degrees two-theta):
d (Å), 2θ (°), intensity
6.499, 13.6, 85
4.111, 21.6, 100
3.250, 27.4, 21
3.080, 29.0, 25
2.783, 32.2, 20
2.629, 34.1, 15
2.465, 36.5, 51
2.356, 38.2, 19
2.166, 41.7, 17
1.772, 51.6, 17

Atomic structure:
```
CuBr4N2O2
1.0
9.1915 0.0000 0.0000
0.0000 9.1915 0.0000
0.0000 0.0000 6.1600
Cu Br N O
2 8 4 4
Cartesian
0.0000 0.0000 0.0000
4.5958 4.5958 3.0800
1.1995 1.1995 3.0800
1.6626 1.6626 0.0000
2.9331 6.2584 3.0800
3.3963 5.7952 0.0000
5.7952 3.3963 0.0000
6.2584 2.9331 3.0800
7.5289 7.5289 0.0000
7.9921 7.9921 3.0800
0.0000 4.5958 1.5400
0.0000 4.5958 4.6200
4.5958 0.0000 1.5400
4.5958 0.0000 4.6200
0.0000 0.0000 1.8566
0.0000 0.0000 4.3034
4.5958 4.5958 1.2234
4.5958 4.5958 4.9366
```